Calculated X-ray diffraction stick pattern
Compound: NaFeP2O6F2
Radiation: a wavelength of 1.5418 Å
Structure: a cell relaxed with GGA+U
Neutral-atom scattering factors, no anomalous dispersion.

Largest 6 diffraction maxima, by intensity, 15° ≤ 2θ ≤ 90°:
2θ/deg	I (rel.)	index
27.37	1000	2 0 0
24.72	933	0 4 0
28.02	407	0 1 2
29.27	267	1 0 -2
29.96	256	1 1 -2
31.91	246	1 0 2

```
NaFeP2O6F2
1.0
6.553 0.000 0.000
0.000 14.408 0.000
-0.692 0.000 6.530
Na Fe P O F
4 4 8 24 8
direct
0.190 0.077 0.004
0.190 0.423 0.504
0.810 0.577 0.496
0.810 0.923 0.996
0.229 0.609 0.865
0.229 0.891 0.365
0.771 0.109 0.635
0.771 0.391 0.135
0.255 0.106 0.519
0.255 0.394 0.019
0.271 0.655 0.369
0.271 0.845 0.869
0.729 0.155 0.131
0.729 0.345 0.631
0.745 0.606 0.981
0.745 0.894 0.481
0.086 0.101 0.662
0.086 0.399 0.162
0.190 0.598 0.541
0.190 0.902 0.041
0.198 0.745 0.856
0.198 0.755 0.356
0.240 0.032 0.351
0.240 0.468 0.851
0.247 0.602 0.169
0.247 0.898 0.669
0.465 0.117 0.638
0.465 0.383 0.138
0.535 0.617 0.862
0.535 0.883 0.362
0.753 0.102 0.331
0.753 0.398 0.831
0.760 0.532 0.149
0.760 0.968 0.649
0.802 0.245 0.644
0.802 0.255 0.144
0.810 0.098 0.959
0.810 0.402 0.459
0.914 0.601 0.838
0.914 0.899 0.338
0.213 0.200 0.392
0.213 0.300 0.892
0.486 0.161 0.070
0.486 0.339 0.570
0.514 0.661 0.430
0.514 0.839 0.930
0.787 0.700 0.108
0.787 0.800 0.608
```